# Al3Cu13
Theoretical powder diffractogram, CuKα. Input: a structure optimized by DFT (GGA-PBE).
Lines closer than 0.1° are merged.

Structural model:
a = 7.5727 Å, b = 5.1212 Å, c = 5.1212 Å
α = 88.21°, β = 90.00°, γ = 90.00°
Element x y z (fractional)
Al  0.0000  0.0000  0.0000
Al  0.2588  0.2787  0.2787
Al  0.7412  0.2787  0.2787
Cu  0.0000  0.0241  0.5046
Cu  0.0000  0.5046  0.0241
Cu  0.0000  0.5228  0.5228
Cu  0.2502  0.7657  0.7657
Cu  0.2511  0.2665  0.7751
Cu  0.2511  0.7751  0.2665
Cu  0.5000  0.0172  0.5259
Cu  0.5000  0.0214  0.0214
Cu  0.5000  0.5219  0.5219
Cu  0.5000  0.5259  0.0172
Cu  0.7489  0.2665  0.7751
Cu  0.7489  0.7751  0.2665
Cu  0.7498  0.7657  0.7657

The 10 most intense peaks (2θ = 10–90°), low angle first:
- 2θ 17.32, I = 4
- 2θ 42.64, I = 100
- 2θ 48.06, I = 17
- 2θ 49.58, I = 16
- 2θ 51.26, I = 14
- 2θ 71.53, I = 9
- 2θ 72.90, I = 9
- 2θ 74.09, I = 8
- 2θ 85.85, I = 11
- 2θ 88.14, I = 11